The following is a calculated XRD peak list of Nd3Si2Ge2Pd4. It was derived from a crystal structure in OQMD, relaxed with PBE, using Cu Kα X-rays.

Structure:
Lattice parameters (Å, degrees): 4.127 4.342 24.954 90.00 90.00 90.00
Space group Immm (No. 71)
One atom of each set of equivalent atoms:
Nd 0.000 0.000 0.000 x2
Nd 0.000 0.500 0.148 x4
Si 0.000 0.500 0.303 x4
Ge 0.000 0.000 0.450 x4
Pd 0.000 0.000 0.250 x4
Pd 0.000 0.500 0.400 x4

Main lines, most intense first (15 to 90 degrees two-theta):
2theta  Rel. int.
33.22  1000
41.60  182
43.88  156
38.53  154
73.85  125
45.09  115
62.06  110
54.24  110
70.60  85
59.79  84